Calculated X-ray powder pattern
Compound: DyCrAs2O8
Radiation: Cu Kα (weighted mean of Kα1 and Kα2)
Structure: the GGA+U geometry in Alexandria
No peak broadening, texture or thermal motion is included.

Crystal structure
```
DyCrAs2O8
1.0
-3.4523 3.4523 3.1500
3.4523 -3.4523 3.1500
3.4523 3.4523 -3.1500
Dy Cr As O
1 1 2 8
Cartesian
0.0000 0.0000 0.0000 Dy
0.0000 3.4523 1.5750 Cr
3.4523 0.0000 1.5750 As
0.0000 0.0000 3.1500 As
2.2063 0.0000 0.4074 O
4.6982 0.0000 0.4074 O
3.4523 2.1452 -1.1420 O
3.4523 -1.2459 2.7426 O
0.0000 1.3071 2.0080 O
3.4523 1.2459 2.7426 O
2.1452 3.4523 1.1420 O
1.3071 0.0000 4.2921 O
```

Peak list (8 most intense, 2θ from 10° to 90°, in order of falling intensity)
2θ/deg, I/Imax
25.8, 100
33.9, 71
50.9, 60
36.8, 20
19.1, 18
64.4, 18
53.1, 16
18.2, 15